Entry 1:
For NaGe6Pd6, a PBE-relaxed structure gives the simulated PXRD pattern in this record (CuKα).

Most intense lines, 2θ from 10° to 90°, by intensity:
| hkl | 2theta | I_rel |
| --- | --- | --- |
| 2 2 2 | 43.49 | 100 |
| 0 0 4 | 37.22 | 51 |
| 2 2 0 | 39.07 | 47 |
| 0 0 2 | 18.36 | 25 |
| 0 4 2 | 48.28 | 22 |
| 0 2 0 | 21.70 | 21 |

Cell and atoms:
Unit cell a=5.585 b=8.190 c=9.654 alpha=90.00 beta=90.00 gamma=90.00
Space group Immm (No. 71)
Unique sites:
Na (0.000, 0.000, 0.000) x2
Ge (0.000, 0.000, 0.329) x4
Ge (0.000, 0.347, 0.000) x4
Ge (0.000, 0.500, 0.336) x4
Pd (0.000, 0.240, 0.500) x4
Pd (0.250, 0.250, 0.250) x8



Entry 2:
For NaPrGe2Pd5, a PBE-relaxed structure gives the simulated PXRD pattern in this record (CuKα).

Most intense lines, 2θ from 10° to 90°, by intensity:
| hkl | 2theta | I_rel |
| --- | --- | --- |
| 1 1 2 | 35.54 | 100 |
| 2 0 0 | 42.68 | 48 |
| 1 1 3 | 41.72 | 38 |
| 3 1 2 | 73.51 | 23 |
| 2 2 0 | 61.95 | 16 |
| 1 1 6 | 67.47 | 13 |

Cell and atoms:
Unit cell a=4.237 b=4.237 c=9.399 alpha=90.00 beta=90.00 gamma=90.00
Space group P4/mmm (No. 123)
Unique sites:
Na (0.000, 0.000, 0.000) x1
Pr (0.000, 0.000, 0.500) x1
Ge (0.500, 0.500, 0.135) x2
Pd (0.000, 0.500, 0.271) x4
Pd (0.500, 0.500, 0.500) x1



Entry 3:
For Na2GePdS4, a PBE-relaxed structure gives the simulated PXRD pattern in this record (CuKα).

Most intense lines, 2θ from 10° to 90°, by intensity:
| hkl | 2theta | I_rel |
| --- | --- | --- |
| 1 1 0 | 17.69 | 100 |
| 2 0 2 | 37.42 | 93 |
| 2 2 0 | 35.83 | 43 |
| 2 0 0 | 25.13 | 39 |
| 2 1 1 | 31.36 | 38 |
| 3 1 2 | 49.29 | 35 |

Cell and atoms:
Unit cell a=7.089 b=7.089 c=6.538 alpha=90.00 beta=90.00 gamma=90.00
Space group I-42m (No. 121)
Unique sites:
Na (0.000, 0.500, 0.000) x4
Ge (0.000, 0.000, 0.000) x2
Pd (0.000, 0.000, 0.500) x2
S (0.169, 0.169, 0.777) x8



What is the formula in the third record?
Na2GePdS4